Computed X-ray diffraction stick pattern
Compound: U5SiS4
Radiation: a wavelength of 1.5418 Å
Structure: a PBE-relaxed structure
Peak positions follow from Bragg's law for the DFT cell and can differ from measured ones.

Cell and atoms:
abc: 6.752 6.752 6.752
angles: 99.60 99.60 131.78
Atoms (fractional coordinates):
U (0.000, 0.000, 0.000)
U (0.194, 0.600, 0.794)
U (0.400, 0.194, 0.594)
U (0.600, 0.806, 0.406)
U (0.806, 0.400, 0.206)
Si (0.500, 0.500, 0.000)
S (0.104, 0.298, 0.402)
S (0.298, 0.896, 0.194)
S (0.702, 0.104, 0.806)
S (0.896, 0.702, 0.598)

Most intense lines, 10 to 90 degrees two-theta, low angle first:
| d/Å | 2θ (°) | intensity |
| --- | --- | --- |
| 3.183 | 28.03 | 100.0 |
| 2.757 | 32.48 | 93.3 |
| 1.949 | 46.59 | 68.6 |
| 1.662 | 55.26 | 49.4 |
| 1.592 | 57.94 | 24.2 |
| 1.378 | 68.01 | 11.4 |
| 1.265 | 75.10 | 21.2 |
| 1.233 | 77.41 | 32.5 |
| 1.125 | 86.47 | 25.6 |


Computed X-ray diffraction stick pattern
Compound: Pr3Cd2Au7
Radiation: a wavelength of 1.5418 Å
Structure: a PBE-relaxed structure
Peak positions follow from Bragg's law for the DFT cell and can differ from measured ones.

Cell and atoms:
abc: 15.085 15.085 3.981
angles: 90.00 90.00 161.75
Atoms (fractional coordinates):
Pr (0.000, 0.000, 0.000)
Pr (0.189, 0.811, 0.000)
Pr (0.811, 0.189, 0.000)
Cd (0.365, 0.635, 0.500)
Cd (0.635, 0.365, 0.500)
Au (0.085, 0.915, 0.500)
Au (0.274, 0.726, 0.500)
Au (0.431, 0.569, 0.000)
Au (0.500, 0.500, 0.500)
Au (0.569, 0.431, 0.000)
Au (0.726, 0.274, 0.500)
Au (0.915, 0.085, 0.500)

Most intense lines, 10 to 90 degrees two-theta, low angle first:
| d/Å | 2θ (°) | intensity |
| --- | --- | --- |
| 2.721 | 32.91 | 100.0 |
| 2.484 | 36.16 | 25.8 |
| 2.392 | 37.61 | 32.3 |
| 2.357 | 38.19 | 20.3 |
| 2.247 | 40.13 | 22.4 |
| 1.990 | 45.57 | 18.8 |
| 1.530 | 60.51 | 16.2 |
| 1.521 | 60.93 | 15.1 |
| 1.437 | 64.91 | 11.9 |
| 1.130 | 86.00 | 10.6 |


Computed X-ray diffraction stick pattern
Compound: Dy2Fe17
Radiation: a wavelength of 1.5418 Å
Structure: a PBE-relaxed structure
Peak positions follow from Bragg's law for the DFT cell and can differ from measured ones.

Cell and atoms:
abc: 8.466 8.466 8.231
angles: 90.00 90.00 120.00
Atoms (fractional coordinates):
Dy (0.000, 0.000, 0.250)
Dy (0.000, 0.000, 0.750)
Dy (0.333, 0.667, 0.250)
Dy (0.667, 0.333, 0.750)
Fe (0.000, 0.500, 0.000)
Fe (0.000, 0.500, 0.500)
Fe (0.039, 0.369, 0.750)
Fe (0.039, 0.671, 0.750)
Fe (0.166, 0.332, 0.016)
Fe (0.166, 0.332, 0.484)
Fe (0.166, 0.834, 0.016)
Fe (0.166, 0.834, 0.484)
Fe (0.329, 0.369, 0.750)
Fe (0.329, 0.961, 0.750)
Fe (0.332, 0.166, 0.516)
Fe (0.332, 0.166, 0.984)
Fe (0.333, 0.667, 0.606)
Fe (0.333, 0.667, 0.894)
Fe (0.369, 0.039, 0.250)
Fe (0.369, 0.329, 0.250)
Fe (0.500, 0.000, 0.000)
Fe (0.500, 0.000, 0.500)
Fe (0.500, 0.500, 0.000)
Fe (0.500, 0.500, 0.500)
Fe (0.631, 0.671, 0.750)
Fe (0.631, 0.961, 0.750)
Fe (0.667, 0.333, 0.106)
Fe (0.667, 0.333, 0.394)
Fe (0.668, 0.834, 0.016)
Fe (0.668, 0.834, 0.484)
Fe (0.671, 0.039, 0.250)
Fe (0.671, 0.631, 0.250)
Fe (0.834, 0.166, 0.516)
Fe (0.834, 0.166, 0.984)
Fe (0.834, 0.668, 0.516)
Fe (0.834, 0.668, 0.984)
Fe (0.961, 0.329, 0.250)
Fe (0.961, 0.631, 0.250)

Most intense lines, 10 to 90 degrees two-theta, low angle first:
| d/Å | 2θ (°) | intensity |
| --- | --- | --- |
| 2.951 | 30.29 | 40.9 |
| 2.444 | 36.77 | 42.0 |
| 2.197 | 41.09 | 30.5 |
| 2.117 | 42.72 | 58.6 |
| 2.101 | 43.04 | 100.0 |
| 2.058 | 44.00 | 30.6 |
| 1.475 | 63.00 | 17.2 |
| 1.335 | 70.56 | 16.3 |
| 1.222 | 78.23 | 16.6 |
| 1.196 | 80.24 | 18.1 |


Computed X-ray diffraction stick pattern
Compound: In5Hg11Pb
Radiation: a wavelength of 1.5418 Å
Structure: a PBE-relaxed structure
Peak positions follow from Bragg's law for the DFT cell and can differ from measured ones.

Cell and atoms:
abc: 6.305 8.929 8.976
angles: 108.41 96.61 98.24
Atoms (fractional coordinates):
In (0.000, 0.000, 0.000)
In (0.187, 0.141, 0.410)
In (0.202, 0.411, 0.143)
In (0.798, 0.589, 0.857)
In (0.813, 0.859, 0.590)
Hg (0.244, 0.758, 0.103)
Hg (0.258, 0.105, 0.759)
Hg (0.273, 0.455, 0.809)
Hg (0.290, 0.812, 0.454)
Hg (0.472, 0.833, 0.831)
Hg (0.500, 0.500, 0.500)
Hg (0.528, 0.167, 0.169)
Hg (0.710, 0.188, 0.546)
Hg (0.727, 0.545, 0.191)
Hg (0.742, 0.895, 0.241)
Hg (0.756, 0.242, 0.897)
Pb (0.000, 0.500, 0.500)

Most intense lines, 10 to 90 degrees two-theta, low angle first:
| d/Å | 2θ (°) | intensity |
| --- | --- | --- |
| 2.850 | 31.39 | 35.6 |
| 2.812 | 31.82 | 51.9 |
| 2.798 | 31.99 | 38.9 |
| 2.772 | 32.29 | 34.6 |
| 2.729 | 32.82 | 100.0 |
| 2.694 | 33.26 | 21.4 |
| 2.420 | 37.16 | 69.1 |
| 2.367 | 38.02 | 33.3 |
| 2.325 | 38.74 | 17.4 |
| 1.536 | 60.24 | 17.0 |


Computed X-ray diffraction stick pattern
Compound: Ac6PrIn
Radiation: a wavelength of 1.5418 Å
Structure: a PBE-relaxed structure
Peak positions follow from Bragg's law for the DFT cell and can differ from measured ones.

Cell and atoms:
abc: 11.658 11.658 11.658
angles: 153.07 153.07 38.45
Atoms (fractional coordinates):
Ac (0.117, 0.617, 0.500)
Ac (0.250, 0.250, 0.000)
Ac (0.383, 0.883, 0.500)
Ac (0.617, 0.117, 0.500)
Ac (0.750, 0.750, 0.000)
Ac (0.883, 0.383, 0.500)
Pr (0.000, 0.000, 0.000)
In (0.500, 0.500, 0.000)

Most intense lines, 10 to 90 degrees two-theta, low angle first:
| d/Å | 2θ (°) | intensity |
| --- | --- | --- |
| 3.149 | 28.35 | 100.0 |
| 2.752 | 32.54 | 16.4 |
| 2.714 | 33.00 | 34.6 |
| 1.933 | 47.02 | 24.0 |
| 1.919 | 47.36 | 12.9 |
| 1.655 | 55.52 | 13.1 |
| 1.639 | 56.12 | 30.7 |
| 1.574 | 58.64 | 13.4 |
| 1.254 | 75.90 | 10.6 |
| 1.111 | 87.91 | 8.5 |


Computed X-ray diffraction stick pattern
Compound: Ac2ErSe3
Radiation: a wavelength of 1.5418 Å
Structure: a PBE-relaxed structure
Peak positions follow from Bragg's law for the DFT cell and can differ from measured ones.

Cell and atoms:
abc: 14.178 13.519 7.533
angles: 79.11 69.44 31.45
Atoms (fractional coordinates):
Ac (0.045, 0.045, 0.205)
Ac (0.122, 0.122, 0.628)
Ac (0.205, 0.205, 0.045)
Ac (0.372, 0.372, 0.878)
Ac (0.628, 0.628, 0.122)
Ac (0.795, 0.795, 0.955)
Ac (0.878, 0.878, 0.372)
Ac (0.955, 0.955, 0.795)
Er (0.292, 0.292, 0.458)
Er (0.458, 0.458, 0.292)
Er (0.542, 0.542, 0.708)
Er (0.708, 0.708, 0.542)
Se (0.036, 0.538, 0.238)
Se (0.154, 0.596, 0.596)
Se (0.238, 0.688, 0.036)
Se (0.312, 0.762, 0.462)
Se (0.404, 0.846, 0.846)
Se (0.462, 0.964, 0.312)
Se (0.538, 0.036, 0.688)
Se (0.596, 0.154, 0.154)
Se (0.688, 0.238, 0.538)
Se (0.762, 0.312, 0.964)
Se (0.846, 0.404, 0.404)
Se (0.964, 0.462, 0.762)

Most intense lines, 10 to 90 degrees two-theta, low angle first:
| d/Å | 2θ (°) | intensity |
| --- | --- | --- |
| 3.566 | 24.97 | 19.4 |
| 3.499 | 25.46 | 17.7 |
| 3.059 | 29.20 | 100.0 |
| 2.193 | 41.17 | 12.7 |
| 2.163 | 41.75 | 50.0 |
| 2.131 | 42.41 | 11.9 |
| 1.783 | 51.24 | 13.4 |
| 1.749 | 52.30 | 12.9 |
| 1.368 | 68.59 | 21.9 |
| 1.260 | 75.43 | 7.9 |


Computed X-ray diffraction stick pattern
Compound: Ac2SmTmSe5
Radiation: a wavelength of 1.5418 Å
Structure: a PBE-relaxed structure
Peak positions follow from Bragg's law for the DFT cell and can differ from measured ones.

Cell and atoms:
abc: 9.156 9.156 14.161
angles: 90.00 90.00 153.40
Atoms (fractional coordinates):
Ac (0.089, 0.911, 0.500)
Ac (0.138, 0.862, 0.159)
Ac (0.862, 0.138, 0.659)
Ac (0.911, 0.089, 0.000)
Sm (0.454, 0.546, 0.305)
Sm (0.546, 0.454, 0.805)
Tm (0.225, 0.775, 0.884)
Tm (0.775, 0.225, 0.384)
Se (0.075, 0.925, 0.936)
Se (0.262, 0.738, 0.527)
Se (0.299, 0.701, 0.250)
Se (0.379, 0.621, 0.837)
Se (0.495, 0.505, 0.618)
Se (0.505, 0.495, 0.118)
Se (0.621, 0.379, 0.337)
Se (0.701, 0.299, 0.750)
Se (0.738, 0.262, 0.027)
Se (0.925, 0.075, 0.436)

Most intense lines, 10 to 90 degrees two-theta, low angle first:
| d/Å | 2θ (°) | intensity |
| --- | --- | --- |
| 4.171 | 21.30 | 53.5 |
| 3.548 | 25.10 | 54.4 |
| 3.095 | 28.85 | 100.0 |
| 2.907 | 30.76 | 43.1 |
| 2.739 | 32.70 | 28.7 |
| 2.677 | 33.47 | 47.7 |
| 2.358 | 38.17 | 25.9 |
| 2.106 | 42.94 | 36.2 |
| 2.083 | 43.44 | 37.6 |
| 1.978 | 45.87 | 21.1 |


Computed X-ray diffraction stick pattern
Compound: CsI2Cl8
Radiation: a wavelength of 1.5418 Å
Structure: a PBE-relaxed structure
Peak positions follow from Bragg's law for the DFT cell and can differ from measured ones.

Cell and atoms:
abc: 6.367 9.346 9.347
angles: 60.02 89.91 89.95
Atoms (fractional coordinates):
Cs (0.000, 0.000, 0.000)
I (0.306, 0.333, 0.333)
I (0.694, 0.667, 0.667)
Cl (0.192, 0.667, 0.667)
Cl (0.312, 0.184, 0.181)
Cl (0.313, 0.181, 0.635)
Cl (0.313, 0.635, 0.184)
Cl (0.687, 0.365, 0.816)
Cl (0.687, 0.819, 0.365)
Cl (0.688, 0.816, 0.819)
Cl (0.808, 0.333, 0.333)

Most intense lines, 10 to 90 degrees two-theta, low angle first:
| d/Å | 2θ (°) | intensity |
| --- | --- | --- |
| 5.005 | 17.72 | 100.0 |
| 4.674 | 18.99 | 89.6 |
| 3.416 | 26.09 | 22.8 |
| 2.963 | 30.16 | 44.0 |
| 2.758 | 32.47 | 29.3 |
| 2.698 | 33.20 | 20.5 |
| 2.502 | 35.89 | 25.5 |
| 2.337 | 38.52 | 39.2 |
| 2.206 | 40.91 | 25.8 |
| 1.835 | 49.69 | 19.9 |


Computed X-ray diffraction stick pattern
Compound: NdY6Er2
Radiation: a wavelength of 1.5418 Å
Structure: a PBE-relaxed structure
Peak positions follow from Bragg's law for the DFT cell and can differ from measured ones.

Cell and atoms:
abc: 11.863 11.863 5.726
angles: 103.91 103.91 48.17
Atoms (fractional coordinates):
Nd (0.250, 0.750, 0.750)
Nd (0.750, 0.250, 0.250)
Y (0.003, 0.167, 0.806)
Y (0.083, 0.582, 0.583)
Y (0.167, 0.003, 0.306)
Y (0.333, 0.497, 0.137)
Y (0.418, 0.917, 0.917)
Y (0.497, 0.333, 0.637)
Y (0.503, 0.667, 0.363)
Y (0.582, 0.083, 0.083)
Y (0.667, 0.503, 0.863)
Y (0.833, 0.997, 0.694)
Y (0.917, 0.418, 0.417)
Y (0.997, 0.833, 0.194)
Er (0.168, 0.332, 0.033)
Er (0.332, 0.168, 0.533)
Er (0.668, 0.832, 0.467)
Er (0.832, 0.668, 0.967)

Most intense lines, 10 to 90 degrees two-theta, low angle first:
| d/Å | 2θ (°) | intensity |
| --- | --- | --- |
| 2.863 | 31.24 | 48.7 |
| 2.844 | 31.45 | 89.3 |
| 2.827 | 31.65 | 46.4 |
| 2.811 | 31.83 | 100.0 |
| 2.012 | 45.07 | 31.9 |
| 1.988 | 45.65 | 15.4 |
| 1.649 | 55.73 | 14.8 |
| 1.643 | 55.97 | 16.0 |
| 1.623 | 56.72 | 17.7 |
| 1.480 | 62.77 | 27.6 |


Computed X-ray diffraction stick pattern
Compound: NdDyAlTl
Radiation: a wavelength of 1.5418 Å
Structure: a PBE-relaxed structure
Peak positions follow from Bragg's law for the DFT cell and can differ from measured ones.

Cell and atoms:
abc: 3.715 3.715 7.725
angles: 90.00 90.00 90.00
Atoms (fractional coordinates):
Nd (0.000, 0.000, 0.000)
Dy (0.000, 0.000, 0.473)
Al (0.500, 0.500, 0.247)
Tl (0.500, 0.500, 0.723)

Most intense lines, 10 to 90 degrees two-theta, low angle first:
| d/Å | 2θ (°) | intensity |
| --- | --- | --- |
| 7.725 | 11.45 | 23.4 |
| 3.348 | 26.63 | 25.3 |
| 2.678 | 33.47 | 100.0 |
| 2.627 | 34.13 | 48.6 |
| 1.931 | 47.05 | 9.0 |
| 1.857 | 49.04 | 17.6 |
| 1.556 | 59.40 | 18.0 |
| 1.526 | 60.68 | 36.5 |
| 1.339 | 70.32 | 10.9 |
| 1.175 | 82.03 | 8.0 |


Computed X-ray diffraction stick pattern
Compound: Al4SnS7
Radiation: a wavelength of 1.5418 Å
Structure: a PBE-relaxed structure
Peak positions follow from Bragg's law for the DFT cell and can differ from measured ones.

Cell and atoms:
abc: 15.092 6.441 6.006
angles: 90.00 90.00 90.00
Atoms (fractional coordinates):
Al (0.123, 0.160, 0.000)
Al (0.246, 0.680, 0.991)
Al (0.254, 0.320, 0.491)
Al (0.377, 0.840, 0.500)
Al (0.623, 0.840, 0.500)
Al (0.746, 0.320, 0.491)
Al (0.754, 0.680, 0.991)
Al (0.877, 0.160, 0.000)
Sn (0.000, 0.480, 0.467)
Sn (0.500, 0.520, 0.967)
S (0.000, 0.343, 0.901)
S (0.121, 0.185, 0.382)
S (0.124, 0.835, 0.882)
S (0.247, 0.338, 0.876)
S (0.253, 0.662, 0.376)
S (0.376, 0.165, 0.382)
S (0.379, 0.815, 0.882)
S (0.500, 0.657, 0.401)
S (0.621, 0.815, 0.882)
S (0.624, 0.165, 0.382)
S (0.747, 0.662, 0.376)
S (0.753, 0.338, 0.876)
S (0.876, 0.835, 0.882)
S (0.879, 0.185, 0.382)

Most intense lines, 10 to 90 degrees two-theta, low angle first:
| d/Å | 2θ (°) | intensity |
| --- | --- | --- |
| 6.441 | 13.75 | 32.8 |
| 5.924 | 14.96 | 36.0 |
| 4.218 | 21.06 | 72.2 |
| 3.857 | 23.06 | 34.2 |
| 3.256 | 27.40 | 100.0 |
| 3.003 | 29.75 | 68.8 |
| 2.962 | 30.17 | 25.5 |
| 2.862 | 31.25 | 32.0 |
| 2.789 | 32.09 | 33.9 |
| 2.207 | 40.89 | 48.4 |


Computed X-ray diffraction stick pattern
Compound: CaEr3Bi4
Radiation: a wavelength of 1.5418 Å
Structure: a PBE-relaxed structure
Peak positions follow from Bragg's law for the DFT cell and can differ from measured ones.

Cell and atoms:
abc: 7.791 8.988 7.750
angles: 90.00 109.47 90.00
Atoms (fractional coordinates):
Ca (0.000, 0.124, 0.250)
Ca (0.000, 0.876, 0.750)
Er (0.000, 0.374, 0.750)
Er (0.000, 0.626, 0.250)
Er (0.500, 0.124, 0.750)
Er (0.500, 0.374, 0.250)
Er (0.500, 0.626, 0.750)
Er (0.500, 0.876, 0.250)
Bi (0.252, 0.379, 0.504)
Bi (0.252, 0.621, 0.004)
Bi (0.258, 0.130, 0.999)
Bi (0.258, 0.870, 0.499)
Bi (0.742, 0.130, 0.501)
Bi (0.742, 0.870, 0.001)
Bi (0.748, 0.379, 0.996)
Bi (0.748, 0.621, 0.496)

Most intense lines, 10 to 90 degrees two-theta, low angle first:
| d/Å | 2θ (°) | intensity |
| --- | --- | --- |
| 3.174 | 28.11 | 100.0 |
| 2.248 | 40.11 | 39.1 |
| 2.241 | 40.24 | 38.9 |
| 1.835 | 49.70 | 21.2 |
| 1.827 | 49.92 | 7.0 |
| 1.587 | 58.12 | 13.3 |
| 1.421 | 65.69 | 18.4 |
| 1.418 | 65.86 | 12.3 |
| 1.298 | 72.88 | 11.4 |
| 1.296 | 73.01 | 9.1 |